# 1
For Pa2Al3Au5, a structure optimized by DFT (GGA-PBE) gives the simulated powder X-ray diffraction pattern in this record (Cu Ka).
Intensities are scaled so that the largest is 100.

abc: 12.7218 12.7218 6.9738
angles: 90.00 90.00 159.51
Fractional coordinates of all 20 atoms:
Pa (0.0136, 0.9864, 0.5000)
Pa (0.3260, 0.6740, 0.5311)
Pa (0.6740, 0.3260, 0.0311)
Pa (0.9864, 0.0136, 0.0000)
Al (0.1077, 0.8923, 0.8028)
Al (0.2770, 0.7230, 0.0338)
Al (0.4496, 0.5504, 0.7018)
Al (0.5504, 0.4496, 0.2018)
Al (0.7230, 0.2770, 0.5338)
Al (0.8923, 0.1077, 0.3028)
Au (0.1035, 0.8965, 0.1980)
Au (0.2096, 0.7904, 0.7456)
Au (0.2112, 0.7888, 0.3247)
Au (0.3817, 0.6183, 0.9911)
Au (0.4481, 0.5519, 0.3148)
Au (0.5519, 0.4481, 0.8148)
Au (0.6183, 0.3817, 0.4911)
Au (0.7888, 0.2112, 0.8247)
Au (0.7904, 0.2096, 0.2456)
Au (0.8965, 0.1035, 0.6980)

Principal peaks in the range 2θ = 10–80°, sorted by position:
two_theta  I_rel
25.79  25
26.55  18
33.49  17
34.20  100
34.45  51
37.97  34
38.19  17
39.85  42
41.44  20
66.33  18


# 2
For PuPaAlAu, a structure optimized by DFT (GGA-PBE) gives the simulated powder X-ray diffraction pattern in this record (Cu Ka).
Intensities are scaled so that the largest is 100.

abc: 5.5442 5.4462 5.4462
angles: 32.35 90.00 90.00
Fractional coordinates of all 4 atoms:
Pu (0.0000, 0.0000, 0.0000)
Pa (0.0000, 0.7419, 0.7419)
Al (0.5000, 0.8754, 0.8754)
Au (0.5000, 0.5974, 0.5974)

Principal peaks in the range 2θ = 10–80°, sorted by position:
two_theta  I_rel
15.99  51
16.95  32
30.68  55
32.29  84
34.78  84
38.04  100
42.74  82
45.14  39
61.43  25
74.27  29


# 3
For AlPb3Au8, a structure optimized by DFT (GGA-PBE) gives the simulated powder X-ray diffraction pattern in this record (Cu Ka).
Intensities are scaled so that the largest is 100.

abc: 10.1000 10.1000 5.7673
angles: 90.00 90.00 120.00
Fractional coordinates of all 24 atoms:
Al (0.3333, 0.6667, 0.0000)
Al (0.6667, 0.3333, 0.5000)
Pb (0.1537, 0.3073, 0.7304)
Pb (0.1537, 0.8463, 0.7304)
Pb (0.3073, 0.1537, 0.2304)
Pb (0.6927, 0.8463, 0.7304)
Pb (0.8463, 0.1537, 0.2304)
Pb (0.8463, 0.6927, 0.2304)
Au (0.0000, 0.0000, 0.4728)
Au (0.0000, 0.0000, 0.9728)
Au (0.0168, 0.5084, 0.9715)
Au (0.2072, 0.4144, 0.2373)
Au (0.2072, 0.7928, 0.2373)
Au (0.3333, 0.6667, 0.5635)
Au (0.4144, 0.2072, 0.7373)
Au (0.4916, 0.5084, 0.9715)
Au (0.4916, 0.9832, 0.9715)
Au (0.5084, 0.0168, 0.4715)
Au (0.5084, 0.4916, 0.4715)
Au (0.5856, 0.7928, 0.2373)
Au (0.6667, 0.3333, 0.0635)
Au (0.7928, 0.2072, 0.7373)
Au (0.7928, 0.5856, 0.7373)
Au (0.9832, 0.4916, 0.4715)

Principal peaks in the range 2θ = 10–80°, sorted by position:
two_theta  I_rel
31.18  28
34.47  33
35.55  100
35.86  13
37.35  89
41.56  13
44.17  15
52.52  18
65.04  24
75.97  24


# 4
For Al3PdPb2Au12, a structure optimized by DFT (GGA-PBE) gives the simulated powder X-ray diffraction pattern in this record (Cu Ka).
Intensities are scaled so that the largest is 100.

abc: 7.9586 7.9586 7.9586
angles: 65.95 65.95 65.95
Fractional coordinates of all 18 atoms:
Al (0.0000, 0.5000, 0.5000)
Al (0.5000, 0.0000, 0.5000)
Al (0.5000, 0.5000, 0.0000)
Pd (0.5000, 0.5000, 0.5000)
Pb (0.1111, 0.1111, 0.1111)
Pb (0.8889, 0.8889, 0.8889)
Au (0.1184, 0.6419, 0.6419)
Au (0.1332, 0.1332, 0.6113)
Au (0.1332, 0.6113, 0.1332)
Au (0.3581, 0.3581, 0.8816)
Au (0.3581, 0.8816, 0.3581)
Au (0.3887, 0.8668, 0.8668)
Au (0.6113, 0.1332, 0.1332)
Au (0.6419, 0.1184, 0.6419)
Au (0.6419, 0.6419, 0.1184)
Au (0.8668, 0.3887, 0.8668)
Au (0.8668, 0.8668, 0.3887)
Au (0.8816, 0.3581, 0.3581)

Principal peaks in the range 2θ = 10–80°, sorted by position:
two_theta  I_rel
26.78  8
30.64  100
41.70  59
45.98  39
52.63  22
63.80  16
69.29  18
75.50  11
76.13  10
79.16  15


# 5
For AlPd12Au7, a structure optimized by DFT (GGA-PBE) gives the simulated powder X-ray diffraction pattern in this record (Cu Ka).
Intensities are scaled so that the largest is 100.

abc: 7.3948 7.3948 7.3948
angles: 106.89 106.89 106.89
Fractional coordinates of all 20 atoms:
Al (0.0000, 0.0000, 0.0000)
Pd (0.0348, 0.4182, 0.3110)
Pd (0.2312, 0.3690, 0.6637)
Pd (0.3110, 0.0348, 0.4182)
Pd (0.3363, 0.7688, 0.6310)
Pd (0.3690, 0.6637, 0.2312)
Pd (0.4182, 0.3110, 0.0348)
Pd (0.5818, 0.6890, 0.9652)
Pd (0.6310, 0.3363, 0.7688)
Pd (0.6637, 0.2312, 0.3690)
Pd (0.6890, 0.9652, 0.5818)
Pd (0.7688, 0.6310, 0.3363)
Pd (0.9652, 0.5818, 0.6890)
Au (0.0236, 0.3196, 0.9065)
Au (0.0935, 0.9764, 0.6804)
Au (0.3196, 0.9065, 0.0236)
Au (0.5000, 0.5000, 0.5000)
Au (0.6804, 0.0935, 0.9764)
Au (0.9065, 0.0236, 0.3196)
Au (0.9764, 0.6804, 0.0935)

Principal peaks in the range 2θ = 10–80°, sorted by position:
two_theta  I_rel
20.32  13
35.84  36
40.16  100
41.99  49
44.80  29
52.52  14
66.02  17
72.22  10
72.99  13
78.21  14


# 6
For AlPdAu4, a structure optimized by DFT (GGA-PBE) gives the simulated powder X-ray diffraction pattern in this record (Cu Ka).
Intensities are scaled so that the largest is 100.

abc: 3.9472 4.2071 6.4347
angles: 90.00 107.60 90.00
Fractional coordinates of all 6 atoms:
Al (0.0000, 0.0000, 0.0000)
Pd (0.1493, 0.5000, 0.3005)
Au (0.3282, 0.0000, 0.6603)
Au (0.4874, 0.5000, 0.9759)
Au (0.6482, 0.0000, 0.2980)
Au (0.8184, 0.5000, 0.6389)

Principal peaks in the range 2θ = 10–80°, sorted by position:
two_theta  I_rel
23.68  23
25.68  13
38.18  100
38.30  99
43.00  36
44.31  32
45.99  30
63.45  22
64.77  22
75.63  28